For Ca3As4, a structure optimized by DFT (GGA-PBE) gives the calculated powder diffraction line list in this record (copper Kα).
Lines closer than 0.1° are merged.

Most intense lines, 10 to 90 degrees two-theta, low angle first:
2θ 25.5, intensity 100, hkl 1 1 0; 2θ 29.5, intensity 41, hkl 2 0 0; 2θ 32.1, intensity 57, hkl 1 1 1; 2θ 35.4, intensity 51, hkl 2 0 1; 2θ 41.8, intensity 55, hkl 1 0 2; 2θ 44.9, intensity 22, hkl 3 0 0; 2θ 49.3, intensity 17, hkl 3 0 1; 2θ 52.3, intensity 35, hkl 2 2 0; 2θ 56.6, intensity 44, hkl 2 1 2; 2θ 69.1, intensity 24, hkl 3 1 2; 2θ 71.4, intensity 11, hkl 4 1 0; 2θ 80.7, intensity 15, hkl 3 2 2

Cell and atoms:
```
Ca3As4
1.0
6.9922 0.0000 0.0000
-3.4961 6.0554 0.0000
0.0000 0.0000 4.6277
Ca As
3 4
Cartesian
-1.7481 3.0277 0.0000 Ca
3.4961 0.0000 0.0000 Ca
1.7481 3.0277 0.0000 Ca
0.0000 0.0000 1.1349 As
0.0000 0.0000 3.4928 As
0.0000 4.0370 2.3139 As
3.4961 2.0185 2.3139 As
```